[1]
This entry pairs a crystal structure of UV2C2 with its simulated powder diffractogram. Radiation: Cu Kα (weighted mean of Kα1 and Kα2). Structure: a structure optimized by DFT (GGA-PBE).

Crystal structure
```
data_UV2C2
_cell_length_a 6.859
_cell_length_b 8.511
_cell_length_c 8.690
_cell_angle_alpha 90.00
_cell_angle_beta 90.00
_cell_angle_gamma 90.00
_symmetry_space_group_name_H-M 'F d d d'
_symmetry_Int_Tables_number 70
loop_
_symmetry_equiv_pos_as_xyz
'x,y,z'
'-x,-y,-z'
'-x+1/4,-y+1/4,z'
'x+1/4,y+1/4,-z'
'x,-y+1/4,-z+1/4'
'-x,y+1/4,z+1/4'
'-x+1/4,y,-z+1/4'
'x+1/4,-y,z+1/4'
'x,y+1/2,z+1/2'
'-x,-y+1/2,-z+1/2'
'-x+1/4,-y+3/4,z+1/2'
'x+1/4,y+3/4,-z+1/2'
'x,-y+3/4,-z+3/4'
'-x,y+3/4,z+3/4'
'-x+1/4,y+1/2,-z+3/4'
'x+1/4,-y+1/2,z+3/4'
'x+1/2,y,z+1/2'
'-x+1/2,-y,-z+1/2'
'-x+3/4,-y+1/4,z+1/2'
'x+3/4,y+1/4,-z+1/2'
'x+1/2,-y+1/4,-z+3/4'
'-x+1/2,y+1/4,z+3/4'
'-x+3/4,y,-z+3/4'
'x+3/4,-y,z+3/4'
'x+1/2,y+1/2,z'
'-x+1/2,-y+1/2,-z'
'-x+3/4,-y+3/4,z'
'x+3/4,y+3/4,-z'
'x+1/2,-y+3/4,-z+1/4'
'-x+1/2,y+3/4,z+1/4'
'-x+3/4,y+1/2,-z+1/4'
'x+3/4,-y+1/2,z+1/4'
loop_
_atom_site_label
_atom_site_type_symbol
_atom_site_fract_x
_atom_site_fract_y
_atom_site_fract_z
U1 U 0.125 0.125 0.125
V1 V 0.125 0.125 0.485
C1 C 0.125 0.333 0.625
```

The 10 most intense peaks (15 to 90 degrees two-theta), by angle:
- 19.51°, I 90
- 29.38°, I 52
- 33.28°, I 56
- 33.56°, I 100
- 35.25°, I 88
- 35.78°, I 28
- 42.49°, I 31
- 46.73°, I 44
- 52.08°, I 29
- 55.01°, I 25

***

[2]
This entry pairs a crystal structure of UW4C4 with its simulated powder diffractogram. Radiation: Cu Kα (weighted mean of Kα1 and Kα2). Structure: a structure optimized by DFT (GGA-PBE).

Crystal structure
```
data_UW4C4
_cell_length_a 8.403
_cell_length_b 8.403
_cell_length_c 3.134
_cell_angle_alpha 90.00
_cell_angle_beta 90.00
_cell_angle_gamma 90.00
_symmetry_space_group_name_H-M 'P 4/m'
_symmetry_Int_Tables_number 83
loop_
_symmetry_equiv_pos_as_xyz
'x,y,z'
'-x,-y,-z'
'-y,x,z'
'y,-x,-z'
'-x,-y,z'
'x,y,-z'
'y,-x,z'
'-y,x,-z'
loop_
_atom_site_label
_atom_site_type_symbol
_atom_site_fract_x
_atom_site_fract_y
_atom_site_fract_z
U1 U 0.000 0.000 0.000
U2 U 0.500 0.500 0.500
W1 W 0.114 0.652 0.500
W2 W 0.181 0.354 0.000
C1 C 0.105 0.205 0.500
C2 C 0.274 0.584 0.000
```

The 10 most intense peaks (15 to 90 degrees two-theta), by angle:
- 30.08°, I 7
- 33.73°, I 62
- 37.36°, I 100
- 48.45°, I 14
- 48.69°, I 7
- 53.64°, I 10
- 58.94°, I 8
- 62.73°, I 22
- 67.00°, I 12
- 69.66°, I 16

***

[3]
This entry pairs a crystal structure of UWC2 with its simulated powder diffractogram. Radiation: Cu Kα (weighted mean of Kα1 and Kα2). Structure: a structure optimized by DFT (GGA-PBE).

Crystal structure
```
data_UWC2
_cell_length_a 5.639
_cell_length_b 3.229
_cell_length_c 11.077
_cell_angle_alpha 90.00
_cell_angle_beta 90.00
_cell_angle_gamma 90.00
_symmetry_space_group_name_H-M 'P n m a'
_symmetry_Int_Tables_number 62
loop_
_symmetry_equiv_pos_as_xyz
'x,y,z'
'-x,-y,-z'
'-x+1/2,-y,z+1/2'
'x+1/2,y,-z+1/2'
'x+1/2,-y+1/2,-z+1/2'
'-x+1/2,y+1/2,z+1/2'
'-x,y+1/2,-z'
'x,-y+1/2,z'
loop_
_atom_site_label
_atom_site_type_symbol
_atom_site_fract_x
_atom_site_fract_y
_atom_site_fract_z
U1 U 0.080 0.250 0.142
W1 W 0.079 0.750 0.398
C1 C 0.163 0.250 0.755
C2 C 0.249 0.250 0.492
```

The 10 most intense peaks (15 to 90 degrees two-theta), by angle:
- 31.74°, I 12
- 32.33°, I 31
- 32.78°, I 28
- 32.97°, I 17
- 35.92°, I 100
- 40.25°, I 17
- 57.33°, I 19
- 60.01°, I 14
- 67.14°, I 15
- 72.10°, I 12